[1]
Calculated X-ray powder pattern of LaZnCuPd2 for λ = 1.5418 Å (Cu Kα), from DFT lattice parameters and positions (PBE).
No peak broadening, texture or thermal motion is included.

Crystal structure
a b c (Å): 7.2093 7.2093 5.4717
angles (deg): 90.00 90.00 136.43
Fractional coordinates of all 10 atoms:
La1 0.2500 0.7500 0.7665
La2 0.7500 0.2500 0.2335
Zn1 0.2500 0.2500 0.5000
Zn2 0.7500 0.7500 0.5000
Cu1 0.0000 0.0000 0.0000
Cu2 0.5000 0.5000 0.0000
Pd1 0.1465 0.8535 0.2862
Pd2 0.3535 0.6465 0.2862
Pd3 0.6465 0.3535 0.7138
Pd4 0.8535 0.1465 0.7138

Largest 10 diffraction maxima, most intense first, 2θ from 5° to 70°:
d/Å  2θ/deg  intensity
2.194  41.1  100
2.905  30.8  85
2.533  35.4  68
2.675  33.5  46
1.913  47.5  30
1.433  65.1  25
2.484  36.2  23
1.952  46.5  22
1.451  64.2  20
2.262  39.9  18



[2]
Calculated X-ray powder pattern of La3Zn2CuPd6 for λ = 1.5418 Å (Cu Kα), from DFT lattice parameters and positions (PBE).
No peak broadening, texture or thermal motion is included.

Crystal structure
a b c (Å): 5.7144 5.7144 8.8151
angles (deg): 90.00 90.00 120.00
Fractional coordinates of all 12 atoms:
La1 0.0000 0.0000 0.0000
La2 0.3333 0.6667 0.6168
La3 0.6667 0.3333 0.3832
Zn1 0.3333 0.6667 0.0316
Zn2 0.6667 0.3333 0.9684
Cu1 0.0000 0.0000 0.5000
Pd1 0.1709 0.3418 0.2763
Pd2 0.1709 0.8291 0.2763
Pd3 0.3418 0.1709 0.7237
Pd4 0.6582 0.8291 0.2763
Pd5 0.8291 0.1709 0.7237
Pd6 0.8291 0.6582 0.7237

Largest 10 diffraction maxima, most intense first, 2θ from 5° to 70°:
d/Å  2θ/deg  intensity
2.382  37.8  100
2.398  37.5  67
2.158  41.9  61
1.429  65.3  31
2.857  31.3  28
2.938  30.4  26
3.291  27.1  24
2.013  45.0  24
2.527  35.5  21
1.893  48.1  19



[3]
Calculated X-ray powder pattern of La4PmCu for λ = 1.5418 Å (Cu Kα), from DFT lattice parameters and positions (PBE).
No peak broadening, texture or thermal motion is included.

Crystal structure
a b c (Å): 3.7040 3.7040 14.0991
angles (deg): 90.00 90.00 90.00
Fractional coordinates of all 6 atoms:
La1 0.0000 0.0000 0.1243
La2 0.0000 0.0000 0.8757
La3 0.5000 0.5000 0.3166
La4 0.5000 0.5000 0.6834
Pm1 0.0000 0.0000 0.5000
Cu1 0.5000 0.5000 0.0000

Largest 10 diffraction maxima, most intense first, 2θ from 5° to 70°:
d/Å  2θ/deg  intensity
2.909  30.7  100
2.619  34.2  49
1.562  59.1  31
3.279  27.2  21
1.919  47.4  18
1.852  49.2  18
1.591  57.9  14
2.820  31.7  14
1.749  52.3  9
1.548  59.7  9



[4]
Calculated X-ray powder pattern of LaPmCu4 for λ = 1.5418 Å (Cu Kα), from DFT lattice parameters and positions (PBE).
No peak broadening, texture or thermal motion is included.

Crystal structure
a b c (Å): 8.2574 8.2574 8.2574
angles (deg): 152.08 152.08 39.90
Fractional coordinates of all 6 atoms:
La1 0.0000 0.0000 0.0000
Pm1 0.2500 0.7500 0.5000
Cu1 0.4183 0.4183 0.0000
Cu2 0.5817 0.5817 0.0000
Cu3 0.6708 0.1708 0.5000
Cu4 0.8292 0.3292 0.5000

Largest 10 diffraction maxima, most intense first, 2θ from 5° to 70°:
d/Å  2θ/deg  intensity
2.649  33.8  100
2.449  36.7  56
1.992  45.5  36
1.938  46.9  32
3.157  28.3  31
1.546  59.8  26
1.389  67.4  21
1.409  66.4  11
1.685  54.5  10
3.881  22.9  10



[5]
Calculated X-ray powder pattern of La4Pm3Cu2 for λ = 1.5418 Å (Cu Kα), from DFT lattice parameters and positions (PBE).
No peak broadening, texture or thermal motion is included.

Crystal structure
a b c (Å): 8.9290 8.9290 9.3154
angles (deg): 112.99 112.99 24.59
Fractional coordinates of all 9 atoms:
La1 0.1312 0.1312 0.3851
La2 0.2631 0.2631 0.8327
La3 0.7369 0.7369 0.1673
La4 0.8688 0.8688 0.6149
Pm1 0.4293 0.4293 0.3190
Pm2 0.5000 0.5000 0.0000
Pm3 0.5707 0.5707 0.6810
Cu1 0.1111 0.1111 0.9434
Cu2 0.8889 0.8889 0.0566

Largest 10 diffraction maxima, most intense first, 2θ from 5° to 70°:
d/Å  2θ/deg  intensity
3.099  28.8  100
2.676  33.5  75
2.825  31.7  74
3.155  28.3  71
3.167  28.2  65
2.935  30.5  50
2.841  31.5  46
2.715  33.0  44
1.668  55.0  34
2.392  37.6  33



[6]
Calculated X-ray powder pattern of La3PmCu4 for λ = 1.5418 Å (Cu Kα), from DFT lattice parameters and positions (PBE).
No peak broadening, texture or thermal motion is included.

Crystal structure
a b c (Å): 5.1557 5.1557 7.2277
angles (deg): 90.00 90.00 90.00
Fractional coordinates of all 8 atoms:
La1 0.0000 0.0000 0.0000
La2 0.0000 0.0000 0.5000
La3 0.5000 0.5000 0.0000
Pm1 0.5000 0.5000 0.5000
Cu1 0.0000 0.5000 0.2576
Cu2 0.0000 0.5000 0.7424
Cu3 0.5000 0.0000 0.2576
Cu4 0.5000 0.0000 0.7424

Largest 10 diffraction maxima, most intense first, 2θ from 5° to 70°:
d/Å  2θ/deg  intensity
2.567  35.0  100
2.578  34.8  51
1.486  62.5  36
1.823  50.0  18
1.480  62.8  17
3.646  24.4  14
1.807  50.5  9
3.614  24.6  7
2.099  43.1  6
1.619  56.9  3



[7]
Calculated X-ray powder pattern of LaPmYCu for λ = 1.5418 Å (Cu Kα), from DFT lattice parameters and positions (PBE).
No peak broadening, texture or thermal motion is included.

Crystal structure
a b c (Å): 3.5878 3.5878 8.8786
angles (deg): 90.00 90.00 90.00
Fractional coordinates of all 4 atoms:
La1 0.0000 0.0000 0.0000
Pm1 0.5000 0.5000 0.6895
Y1 0.5000 0.5000 0.3088
Cu1 0.0000 0.0000 0.4897

Largest 10 diffraction maxima, most intense first, 2θ from 5° to 70°:
d/Å  2θ/deg  intensity
2.790  32.1  100
2.537  35.4  52
1.509  61.4  30
3.326  26.8  29
1.926  47.2  19
1.794  50.9  18
2.960  30.2  16
1.591  57.9  11
1.534  60.3  9
2.283  39.5  8



[8]
Calculated X-ray powder pattern of LaPrCuRh for λ = 1.5418 Å (Cu Kα), from DFT lattice parameters and positions (PBE).
No peak broadening, texture or thermal motion is included.

Crystal structure
a b c (Å): 4.4071 5.8604 5.8604
angles (deg): 40.02 90.00 90.00
Fractional coordinates of all 4 atoms:
La1 0.0000 0.0000 0.0000
Pr1 0.5000 0.7262 0.7262
Cu1 0.0000 0.2911 0.2911
Rh1 0.5000 0.4468 0.4468

Largest 10 diffraction maxima, most intense first, 2θ from 5° to 70°:
d/Å  2θ/deg  intensity
2.864  31.2  100
2.307  39.0  64
2.708  33.1  31
2.753  32.5  29
2.204  41.0  28
2.005  45.2  21
2.335  38.6  19
1.709  53.6  16
1.483  62.6  16
3.441  25.9  15



[9]
Calculated X-ray powder pattern of LaCu6Pt2 for λ = 1.5418 Å (Cu Kα), from DFT lattice parameters and positions (PBE).
No peak broadening, texture or thermal motion is included.

Crystal structure
a b c (Å): 5.1338 5.1338 6.9573
angles (deg): 90.00 90.00 120.00
Fractional coordinates of all 9 atoms:
La1 0.0000 0.0000 0.0000
Cu1 0.0000 0.5000 0.2001
Cu2 0.0000 0.5000 0.7999
Cu3 0.5000 0.0000 0.2001
Cu4 0.5000 0.0000 0.7999
Cu5 0.5000 0.5000 0.2001
Cu6 0.5000 0.5000 0.7999
Pt1 0.3333 0.6667 0.5000
Pt2 0.6667 0.3333 0.5000

Largest 10 diffraction maxima, most intense first, 2θ from 5° to 70°:
d/Å  2θ/deg  intensity
3.746  23.8  100
2.065  43.8  98
2.118  42.7  55
2.056  44.0  47
4.446  20.0  35
2.567  35.0  33
2.408  37.3  32
1.873  48.6  27
1.363  68.9  25
1.361  69.0  24



[10]
Calculated X-ray powder pattern of La4CuPt for λ = 1.5418 Å (Cu Kα), from DFT lattice parameters and positions (PBE).
No peak broadening, texture or thermal motion is included.

Crystal structure
a b c (Å): 8.2166 8.2166 8.2166
angles (deg): 106.43 106.43 115.74
Fractional coordinates of all 12 atoms:
La1 0.2047 0.5065 0.6982
La2 0.2565 0.0584 0.8018
La3 0.2565 0.4547 0.1982
La4 0.3004 0.0000 0.3004
La5 0.6996 0.0000 0.6996
La6 0.7500 0.5504 0.8004
La7 0.7500 0.9496 0.1996
La8 0.8084 0.5065 0.3018
Cu1 0.0000 0.0000 0.0000
Cu2 0.7500 0.2500 0.5000
Pt1 0.2544 0.7544 0.5000
Pt2 0.5044 0.5044 0.0000

Largest 10 diffraction maxima, most intense first, 2θ from 5° to 70°:
d/Å  2θ/deg  intensity
3.267  27.3  100
2.535  35.4  66
2.049  44.2  56
4.920  18.0  55
2.460  36.5  36
3.112  28.7  35
2.185  41.3  22
1.634  56.3  20
1.965  46.2  17
6.534  13.6  17



[11]
Calculated X-ray powder pattern of RbLa2CuS4 for λ = 1.5418 Å (Cu Kα), from DFT lattice parameters and positions (PBE).
No peak broadening, texture or thermal motion is included.

Crystal structure
a b c (Å): 7.5021 7.5021 14.2050
angles (deg): 90.00 90.00 147.69
Fractional coordinates of all 16 atoms:
Rb1 0.1046 0.8954 0.7500
Rb2 0.8954 0.1046 0.2500
La1 0.3656 0.6344 0.5606
La2 0.3656 0.6344 0.9394
La3 0.6344 0.3656 0.0606
La4 0.6344 0.3656 0.4394
Cu1 0.1663 0.8337 0.2500
Cu2 0.8337 0.1663 0.7500
S1 0.0000 0.0000 0.0000
S2 0.0000 0.0000 0.5000
S3 0.2589 0.7411 0.1135
S4 0.2589 0.7411 0.3865
S5 0.4214 0.5786 0.7500
S6 0.5786 0.4214 0.2500
S7 0.7411 0.2589 0.6135
S8 0.7411 0.2589 0.8865

Largest 10 diffraction maxima, most intense first, 2θ from 5° to 70°:
d/Å  2θ/deg  intensity
2.881  31.0  100
3.957  22.5  67
3.077  29.0  60
3.492  25.5  58
2.121  42.6  52
3.603  24.7  40
6.426  13.8  39
2.088  43.3  33
2.318  38.8  30
2.643  33.9  30



[12]
Calculated X-ray powder pattern of La2CuRh for λ = 1.5418 Å (Cu Kα), from DFT lattice parameters and positions (PBE).
No peak broadening, texture or thermal motion is included.

Crystal structure
a b c (Å): 3.5800 3.5800 7.8797
angles (deg): 90.00 90.00 90.00
Fractional coordinates of all 4 atoms:
La1 0.0000 0.0000 0.0000
La2 0.5000 0.5000 0.4269
Cu1 0.5000 0.5000 0.7900
Rh1 0.0000 0.0000 0.6423

Largest 10 diffraction maxima, most intense first, 2θ from 5° to 70°:
d/Å  2θ/deg  intensity
2.531  35.5  100
2.118  42.7  86
2.650  33.8  78
3.259  27.4  72
1.367  68.7  41
7.880  11.2  37
1.790  51.0  35
1.483  62.6  25
1.569  58.9  17
1.823  50.0  16